# Cu2SnHgSe4
Computed X-ray diffraction stick pattern, Cu Kα, 1.54184 Å. Input: a crystal structure in the Materials Project, relaxed with PBE.

Principal peaks in the range 2θ from 10° to 80°, by angle:
2θ 21.19, I = 9
2θ 26.21, I = 100
2θ 33.95, I = 11
2θ 43.15, I = 26
2θ 43.63, I = 46
2θ 51.19, I = 32
2θ 52.03, I = 14
2θ 62.67, I = 8
2θ 69.83, I = 11
2θ 79.46, I = 16

Structure:
Cell lengths 5.930, 5.930, 11.616 Å; angles 90.00, 90.00, 90.00 degrees
Space group I-42m (No. 121)
Asymmetric unit:
Cu (0.000, 0.500, 0.250) [4 per cell]
Sn (0.000, 0.000, 0.000) [2 per cell]
Hg (0.000, 0.000, 0.500) [2 per cell]
Se (0.243, 0.243, 0.143) [8 per cell]